Diffraction record for TmHg3Pb. The X-ray powder pattern is theoretical, not measured: it uses a GGA-PBE-relaxed structure and copper Kα.

Structure:
```
TmHg3Pb
1.0
6.214 0.000 0.000
0.000 6.015 0.000
-1.809 0.000 7.427
Tm Hg Pb
2 6 2
Direct
0.197 0.250 0.002 Tm
0.803 0.750 0.998 Tm
0.080 0.004 0.327 Hg
0.080 0.496 0.327 Hg
0.374 0.750 0.113 Hg
0.626 0.250 0.887 Hg
0.920 0.504 0.673 Hg
0.920 0.996 0.673 Hg
0.395 0.750 0.662 Pb
0.605 0.250 0.338 Pb
```

Most intense lines, 2θ from 10° to 90°, by intensity:
Position (°2θ)	Rel. int.
33.25	1000
33.53	678
34.60	577
39.21	539
28.24	363
32.11	281
36.29	281
21.04	205



Diffraction record for Tm8HgPb2. The X-ray powder pattern is theoretical, not measured: it uses a GGA-PBE-relaxed structure and copper Kα.

Structure:
```
Tm8HgPb2
1.0
9.577 -2.524 0.000
9.577 2.524 0.000
-1.533 0.000 6.569
Tm Hg Pb
8 1 2
Direct
0.016 0.016 0.264 Tm
0.214 0.214 0.836 Tm
0.345 0.345 0.484 Tm
0.408 0.408 0.020 Tm
0.592 0.592 0.980 Tm
0.655 0.655 0.516 Tm
0.786 0.786 0.164 Tm
0.984 0.984 0.736 Tm
0.500 0.500 0.500 Hg
0.180 0.180 0.272 Pb
0.820 0.820 0.728 Pb
```

Most intense lines, 2θ from 10° to 90°, by intensity:
Position (°2θ)	Rel. int.
31.94	1000
35.57	564
29.78	476
37.89	324
35.08	239
33.81	209
63.55	204
34.61	177



Diffraction record for Tm2Hg9Pb. The X-ray powder pattern is theoretical, not measured: it uses a GGA-PBE-relaxed structure and copper Kα.

Structure:
```
Tm2Hg9Pb
1.0
4.575 0.000 0.000
0.000 4.575 0.000
0.000 0.000 14.268
Tm Hg Pb
2 9 1
Direct
0.000 0.000 0.168 Tm
0.000 0.000 0.832 Tm
0.000 0.500 0.000 Hg
0.000 0.500 0.321 Hg
0.000 0.500 0.679 Hg
0.500 0.000 0.000 Hg
0.500 0.000 0.321 Hg
0.500 0.000 0.679 Hg
0.500 0.500 0.156 Hg
0.500 0.500 0.500 Hg
0.500 0.500 0.844 Hg
0.000 0.000 0.500 Pb
```

Most intense lines, 2θ from 10° to 90°, by intensity:
Position (°2θ)	Rel. int.
33.50	1000
39.39	332
67.69	270
55.76	222
37.83	168
65.58	121
56.93	115
70.40	112



Diffraction record for YTmHgPb. The X-ray powder pattern is theoretical, not measured: it uses a GGA-PBE-relaxed structure and copper Kα.

Structure:
```
YTmHgPb
1.0
3.953 0.000 0.000
0.000 5.179 0.000
0.000 0.000 5.207
Y Tm Hg Pb
1 1 1 1
Direct
0.000 0.000 0.000 Y
0.000 0.500 0.500 Tm
0.500 0.000 0.500 Hg
0.500 0.500 0.000 Pb
```

Most intense lines, 2θ from 10° to 90°, by intensity:
Position (°2θ)	Rel. int.
33.30	1000
34.45	229
34.64	225
60.99	179
61.23	176
49.66	165
69.93	119
45.91	103



Please write out number 3 again, unchanged.
Diffraction record for Tm2Hg9Pb. The X-ray powder pattern is theoretical, not measured: it uses a GGA-PBE-relaxed structure and copper Kα.

Structure:
```
Tm2Hg9Pb
1.0
4.575 0.000 0.000
0.000 4.575 0.000
0.000 0.000 14.268
Tm Hg Pb
2 9 1
Direct
0.000 0.000 0.168 Tm
0.000 0.000 0.832 Tm
0.000 0.500 0.000 Hg
0.000 0.500 0.321 Hg
0.000 0.500 0.679 Hg
0.500 0.000 0.000 Hg
0.500 0.000 0.321 Hg
0.500 0.000 0.679 Hg
0.500 0.500 0.156 Hg
0.500 0.500 0.500 Hg
0.500 0.500 0.844 Hg
0.000 0.000 0.500 Pb
```

Most intense lines, 2θ from 10° to 90°, by intensity:
Position (°2θ)	Rel. int.
33.50	1000
39.39	332
67.69	270
55.76	222
37.83	168
65.58	121
56.93	115
70.40	112